The following is a calculated powder diffraction line list of Hf5Zr2AgOs2. It was derived from the PBE geometry in Alexandria, using copper Kα.
Kinematic intensities with the Lorentz-polarization factor, no thermal factor.

Top 10 peaks for 2θ from 10° to 80°, sorted by position:
Position (°2θ)	I (rel.)
17.61	44
32.79	29
33.77	38
35.06	29
36.89	100
39.50	39
41.97	34
45.57	14
54.97	18
56.86	18

Cell and atoms:
```
Hf5Zr2AgOs2
1.0
11.262 0.000 0.000
0.000 11.262 0.000
0.000 0.000 3.341
Hf Zr Ag Os
10 4 2 4
Direct
0.000 0.500 0.000
0.047 0.207 0.000
0.207 0.953 0.000
0.293 0.453 0.000
0.453 0.707 0.000
0.500 0.000 0.000
0.547 0.293 0.000
0.707 0.547 0.000
0.793 0.047 0.000
0.953 0.793 0.000
0.184 0.684 0.500
0.316 0.184 0.500
0.684 0.816 0.500
0.816 0.316 0.500
0.000 0.000 0.500
0.500 0.500 0.500
0.137 0.363 0.500
0.363 0.863 0.500
0.637 0.137 0.500
0.863 0.637 0.500
```

The following is a calculated powder diffraction line list of HfPaAg. It was derived from the PBE geometry in Alexandria, using copper Kα.
Kinematic intensities with the Lorentz-polarization factor, no thermal factor.

Top 10 peaks for 2θ from 10° to 80°, sorted by position:
Position (°2θ)	I (rel.)
12.70	7
29.72	7
34.96	100
38.77	18
41.48	32
58.07	23
60.10	11
67.73	13
71.46	25
73.85	11

Cell and atoms:
```
HfPaAg
1.0
-1.539 1.539 6.968
1.539 -1.539 6.968
1.539 1.539 -6.968
Hf Pa Ag
1 1 1
Direct
0.000 0.000 0.000
0.671 0.671 0.000
0.349 0.349 0.000
```

The following is a calculated powder diffraction line list of HfAgPd6. It was derived from the PBE geometry in Alexandria, using copper Kα.
Kinematic intensities with the Lorentz-polarization factor, no thermal factor.

Top 10 peaks for 2θ from 10° to 80°, sorted by position:
Position (°2θ)	I (rel.)
35.22	33
35.39	17
38.00	17
38.08	12
40.99	29
41.14	29
41.25	29
41.38	100
42.69	14
42.93	27

Cell and atoms:
```
HfAgPd6
1.0
5.115 0.000 0.000
-0.451 5.113 0.000
-0.452 -0.458 5.101
Hf Ag Pd
1 1 6
Direct
0.000 0.000 0.000
0.500 0.500 0.500
0.035 0.456 0.749
0.251 0.963 0.546
0.457 0.748 0.036
0.543 0.252 0.964
0.749 0.037 0.454
0.965 0.544 0.251
```

The following is a calculated powder diffraction line list of HfAgPd3. It was derived from the PBE geometry in Alexandria, using copper Kα.
Kinematic intensities with the Lorentz-polarization factor, no thermal factor.

Top 10 peaks for 2θ from 10° to 80°, sorted by position:
Position (°2θ)	I (rel.)
11.78	27
28.58	28
35.37	17
40.18	100
41.35	35
41.56	49
45.49	14
59.07	14
59.29	13
74.60	12

Cell and atoms:
```
HfAgPd3
1.0
4.367 0.000 0.000
0.000 5.584 0.000
0.000 0.000 7.516
Hf Ag Pd
2 2 6
Direct
0.250 0.250 0.134
0.750 0.750 0.866
0.250 0.750 0.446
0.750 0.250 0.554
0.250 0.007 0.759
0.250 0.493 0.759
0.250 0.750 0.083
0.750 0.250 0.917
0.750 0.507 0.241
0.750 0.993 0.241
```